1.
Ir5Au4: computed X-ray diffraction stick pattern (Cu Ka), based on a cell relaxed with PBE.

Crystal structure
Cell lengths 6.3266, 6.3266, 6.3266 Å; angles 95.83, 95.83, 142.82 degrees
Sites, in units of the cell vectors:
Ir  0.0000  0.0000  0.0000
Ir  0.3435  0.3435  0.6870
Ir  0.3435  0.6565  0.0000
Ir  0.6565  0.3435  0.0000
Ir  0.6565  0.6565  0.3130
Au  0.0000  0.3285  0.3285
Au  0.0000  0.6715  0.6715
Au  0.3285  0.0000  0.3285
Au  0.6715  0.0000  0.6715

Most intense lines, 10° ≤ 2θ ≤ 90°, in order of rising 2θ:
two_theta  d (Å)  intensity
29.80  2.998  1
38.90  2.315  100
44.95  2.017  17
45.37  1.999  32
49.76  1.832  1
59.09  1.563  1
63.41  1.467  1
65.78  1.420  21
66.11  1.413  10
78.83  1.214  13
79.44  1.206  24
83.52  1.157  11

2.
IrAu3: computed X-ray diffraction stick pattern (Cu Ka), based on a cell relaxed with PBE.

Crystal structure
Cell lengths 2.8444, 2.8444, 8.4706 Å; angles 90.00, 90.00, 90.00 degrees
Sites, in units of the cell vectors:
Ir  0.0000  0.0000  0.0000
Au  0.0000  0.0000  0.5000
Au  0.5000  0.5000  0.2399
Au  0.5000  0.5000  0.7601

Most intense lines, 10° ≤ 2θ ≤ 90°, in order of rising 2θ:
two_theta  d (Å)  intensity
38.11  2.361  100
42.70  2.118  18
45.08  2.011  32
63.83  1.458  22
63.96  1.456  1
65.65  1.422  10
75.13  1.265  13
78.51  1.218  25
81.53  1.181  11

3.
Ir3Au: computed X-ray diffraction stick pattern (Cu Ka), based on a cell relaxed with PBE.

Crystal structure
Cell lengths 2.7672, 2.7672, 9.3211 Å; angles 90.00, 90.00, 120.00 degrees
Sites, in units of the cell vectors:
Ir  0.0000  0.0000  0.0000
Ir  0.3333  0.6667  0.2351
Ir  0.3333  0.6667  0.7649
Au  0.0000  0.0000  0.5000

Most intense lines, 10° ≤ 2θ ≤ 90°, in order of rising 2θ:
two_theta  d (Å)  intensity
37.53  2.396  24
38.64  2.330  27
42.41  2.131  100
54.96  1.671  15
63.19  1.471  2
67.72  1.384  17
72.51  1.304  18
80.09  1.198  3
80.78  1.190  20
82.85  1.165  3
82.95  1.164  2
83.26  1.160  15

4.
KZnIrAuO: computed X-ray diffraction stick pattern (Cu Ka), based on a cell relaxed with PBE.

Crystal structure
Cell lengths 2.8498, 4.5181, 8.1390 Å; angles 101.40, 99.90, 90.00 degrees
Sites, in units of the cell vectors:
K  0.0000  0.0000  0.0000
Zn  0.1458  0.6030  0.3000
Ir  0.3011  0.5809  0.6045
Au  0.7866  0.0744  0.5750
O  0.5663  0.5606  0.1377

Most intense lines, 10° ≤ 2θ ≤ 90°, in order of rising 2θ:
two_theta  d (Å)  intensity
11.26  7.855  100
22.64  3.927  26
34.25  2.618  14
37.34  2.408  20
38.62  2.331  24
39.63  2.274  10
40.77  2.213  12
42.70  2.118  8
44.71  2.027  5
44.96  2.016  6
45.08  2.011  6
46.23  1.964  5